Computed X-ray powder pattern of Nd2Br3Cl3 for Cu Kα (weighted mean of Kα1 and Kα2), from the GGA-PBE geometry in OQMD.
Peak positions follow from Bragg's law for the DFT cell and can differ from measured ones.

Structural model:
Lattice parameters (Å, degrees): 7.727 7.727 4.321 90.00 90.00 120.00
Fractional coordinates of all 8 atoms:
Nd  0.000  0.000  0.000
Nd  0.333  0.667  0.500
Br  0.301  0.247  0.500
Br  0.753  0.054  0.500
Br  0.946  0.699  0.500
Cl  0.075  0.421  0.000
Cl  0.346  0.925  0.000
Cl  0.579  0.654  0.000

Principal peaks in the range 5 to 70 degrees two-theta, in order of rising 2θ:
- 2θ = 13.2°, I 74, (1 0 0)
- 2θ = 23.0°, I 24, (1 1 0)
- 2θ = 24.5°, I 32, (1 0 1)
- 2θ = 26.6°, I 22, (2 0 0)
- 2θ = 31.0°, I 45, (1 1 1)
- 2θ = 33.9°, I 100, (2 0 1)
- 2θ = 35.5°, I 22, (1 2 0)
- 2θ = 40.4°, I 33, (3 0 0)
- 2θ = 41.4°, I 59, (1 2 1)
- 2θ = 41.8°, I 22, (0 0 2)
- 2θ = 59.6°, I 21, (3 0 2)
- 2θ = 64.4°, I 30, (3 2 1)